Record 1
For Rb2SnH12N6, the GGA-PBE geometry in the Materials Project gives the simulated XRD peak list in this record (a wavelength of 1.5418 Å).
Lines closer than 0.1° are merged.

Cell and atoms:
```
Rb2SnH12N6
1.0
6.7930 0.0000 0.0000
-3.3965 5.8829 0.0000
0.0000 0.0000 5.7173
Rb Sn H N
2 1 12 6
direct
0.3333 0.6667 0.2050
0.6667 0.3333 0.7950
0.0000 0.0000 0.0000
0.0546 0.2550 0.6111
0.1498 0.7346 0.7831
0.2004 0.9454 0.6111
0.2550 0.2004 0.3889
0.2654 0.4151 0.7831
0.4151 0.1498 0.2169
0.5849 0.8502 0.7831
0.7346 0.5849 0.2169
0.7450 0.7996 0.6111
0.7996 0.0546 0.3889
0.8502 0.2654 0.2169
0.9454 0.7450 0.3889
0.0923 0.3055 0.7823
0.2132 0.9077 0.7823
0.3055 0.2132 0.2177
0.6945 0.7868 0.7823
0.7868 0.0923 0.2177
0.9077 0.6945 0.2177
```

Top 10 peaks for 2θ = 15–90°, sorted by position:
| two_theta | I/Imax |
| --- | --- |
| 15.50 | 49 |
| 21.68 | 100 |
| 26.24 | 87 |
| 30.62 | 50 |
| 34.28 | 65 |
| 34.89 | 46 |
| 43.68 | 34 |
| 44.18 | 38 |
| 46.30 | 24 |
| 52.11 | 35 |


Record 2
For SiH17S3N5, the GGA-PBE geometry in the Materials Project gives the simulated XRD peak list in this record (a wavelength of 1.5418 Å).
Lines closer than 0.1° are merged.

Cell and atoms:
```
SiH17S3N5
1.0
6.4332 0.0000 0.0000
-0.5921 6.5382 0.0000
-0.5491 -1.5460 13.0380
Si H S N
2 34 6 10
direct
0.1143 0.1844 0.1933
0.8857 0.8156 0.8067
0.0123 0.6698 0.4706
0.1052 0.4591 0.8717
0.1609 0.5315 0.3959
0.1868 0.7868 0.4057
0.2232 0.2346 0.8747
0.2244 0.0759 0.6559
0.2313 0.9613 0.0407
0.2389 0.8402 0.1463
0.2436 0.4179 0.9786
0.2889 0.6719 0.6963
0.2936 0.6336 0.5647
0.3283 0.1117 0.5470
0.3577 0.4393 0.6381
0.3728 0.4646 0.8713
0.4249 0.0267 0.1321
0.4803 0.1014 0.6491
0.4804 0.3330 0.3574
0.5196 0.6670 0.6426
0.5197 0.8986 0.3509
0.5751 0.9733 0.8679
0.6272 0.5354 0.1287
0.6423 0.5607 0.3619
0.6717 0.8883 0.4530
0.7064 0.3664 0.4353
0.7111 0.3281 0.3037
0.7564 0.5821 0.0214
0.7611 0.1598 0.8537
0.7687 0.0387 0.9593
0.7756 0.9241 0.3441
0.7768 0.7654 0.1253
0.8132 0.2132 0.5943
0.8391 0.4685 0.6041
0.8948 0.5409 0.1283
0.9877 0.3302 0.5294
0.1733 0.1412 0.3457
0.1978 0.8957 0.8623
0.2476 0.4634 0.1478
0.7524 0.5366 0.8522
0.8022 0.1043 0.1377
0.8267 0.8588 0.6543
0.1610 0.6631 0.4466
0.2374 0.3948 0.8976
0.2664 0.9826 0.1200
0.3450 0.1566 0.6244
0.3641 0.6015 0.6358
0.6359 0.3985 0.3642
0.6550 0.8434 0.3756
0.7336 0.0174 0.8800
0.7626 0.6052 0.1024
0.8390 0.3369 0.5534
```

Top 10 peaks for 2θ = 15–90°, sorted by position:
| two_theta | I/Imax |
| --- | --- |
| 15.10 | 35 |
| 15.95 | 46 |
| 20.43 | 42 |
| 23.56 | 55 |
| 27.36 | 100 |
| 27.52 | 40 |
| 27.89 | 68 |
| 29.09 | 38 |
| 31.02 | 54 |
| 31.97 | 60 |


Record 3
For SnH16Se3N7, the GGA-PBE geometry in the Materials Project gives the simulated XRD peak list in this record (a wavelength of 1.5418 Å).
Lines closer than 0.1° are merged.

Cell and atoms:
```
SnH16Se3N7
1.0
6.7242 0.0000 0.0000
-2.3906 9.4016 0.0000
-1.6227 -1.2778 9.8624
Sn H Se N
2 32 6 14
direct
0.1970 0.1154 0.1260
0.8030 0.8846 0.8740
0.0074 0.6616 0.2985
0.0156 0.3277 0.8653
0.0182 0.8021 0.5971
0.0463 0.4264 0.1340
0.1524 0.6280 0.6902
0.1650 0.8159 0.4824
0.1929 0.5479 0.8747
0.2366 0.1616 0.7113
0.2808 0.6101 0.5573
0.3230 0.6924 0.2101
0.3282 0.3852 0.5077
0.3615 0.7667 0.6666
0.3635 0.4624 0.3725
0.4025 0.1757 0.6080
0.4393 0.8610 0.1852
0.4906 0.2783 0.8925
0.5094 0.7217 0.1075
0.5607 0.1390 0.8148
0.5975 0.8243 0.3920
0.6365 0.5376 0.6275
0.6385 0.2333 0.3334
0.6718 0.6148 0.4923
0.6770 0.3076 0.7899
0.7192 0.3899 0.4427
0.7634 0.8384 0.2887
0.8071 0.4521 0.1253
0.8350 0.1841 0.5176
0.8476 0.3720 0.3098
0.9537 0.5736 0.8660
0.9818 0.1979 0.4029
0.9844 0.6723 0.1347
0.9926 0.3384 0.7015
0.2118 0.9284 0.9262
0.3140 0.0394 0.3517
0.3736 0.3641 0.0866
0.6264 0.6359 0.9134
0.6860 0.9606 0.6483
0.7882 0.0716 0.0738
0.0474 0.5287 0.8140
0.0492 0.6241 0.2118
0.0802 0.7420 0.5336
0.2290 0.6861 0.6184
0.3667 0.2303 0.6898
0.3863 0.4830 0.4766
0.4677 0.7615 0.1967
0.5323 0.2385 0.8033
0.6137 0.5170 0.5234
0.6333 0.7697 0.3102
0.7710 0.3139 0.3816
0.9198 0.2580 0.4664
0.9508 0.3759 0.7882
0.9526 0.4713 0.1860
```

Top 10 peaks for 2θ = 15–90°, sorted by position:
| two_theta | I/Imax |
| --- | --- |
| 15.02 | 55 |
| 16.39 | 78 |
| 26.27 | 47 |
| 26.96 | 60 |
| 27.21 | 100 |
| 27.60 | 61 |
| 31.27 | 41 |
| 37.17 | 33 |
| 40.92 | 33 |
| 47.06 | 39 |


Record 4
For ZnH6Se4N2, the GGA-PBE geometry in the Materials Project gives the simulated XRD peak list in this record (a wavelength of 1.5418 Å).
Lines closer than 0.1° are merged.

Cell and atoms:
```
ZnH6Se4N2
1.0
6.1300 0.0000 0.0000
0.0000 12.0314 0.0000
-2.7586 0.0000 6.1669
Zn H Se N
2 12 8 4
direct
0.1715 0.0000 0.1108
0.8285 0.5000 0.8892
0.0134 0.6520 0.1929
0.1724 0.5134 0.7523
0.1784 0.0764 0.7483
0.2686 0.4298 0.9629
0.2721 0.5652 0.9981
0.2751 0.1739 0.9368
0.7249 0.6739 0.0632
0.7279 0.0652 0.0019
0.7314 0.9298 0.0371
0.8216 0.5764 0.2517
0.8276 0.0134 0.2477
0.9866 0.1520 0.8071
0.0229 0.8158 0.6378
0.2694 0.8155 0.0188
0.3700 0.2680 0.4109
0.4335 0.0729 0.4647
0.5665 0.5729 0.5353
0.6300 0.7680 0.5891
0.7306 0.3155 0.9812
0.9771 0.3158 0.3622
0.1490 0.1128 0.8724
0.1749 0.5015 0.9027
0.8251 0.0015 0.0973
0.8510 0.6128 0.1276
```

Top 10 peaks for 2θ = 15–90°, sorted by position:
| two_theta | I/Imax |
| --- | --- |
| 16.15 | 51 |
| 16.48 | 64 |
| 17.48 | 63 |
| 18.07 | 100 |
| 22.17 | 35 |
| 26.53 | 56 |
| 27.75 | 36 |
| 29.17 | 52 |
| 29.70 | 58 |
| 29.91 | 55 |


Record 5
For SrH4N2, the GGA-PBE geometry in the Materials Project gives the simulated XRD peak list in this record (a wavelength of 1.5418 Å).
Lines closer than 0.1° are merged.

Cell and atoms:
```
SrH4N2
1.0
6.7555 0.0000 0.0000
0.0000 7.7800 0.0000
-2.2288 0.0000 6.3111
Sr H N
4 16 8
direct
0.2494 0.1224 0.4984
0.2494 0.3776 0.9984
0.7506 0.6224 0.0016
0.7506 0.8776 0.5016
0.0657 0.0343 0.8792
0.0657 0.4657 0.3792
0.1078 0.6777 0.7421
0.1078 0.8223 0.2421
0.3738 0.7257 0.1721
0.3738 0.7743 0.6721
0.4761 0.5884 0.3598
0.4761 0.9116 0.8598
0.5239 0.0884 0.1402
0.5239 0.4116 0.6402
0.6262 0.2257 0.3279
0.6262 0.2743 0.8279
0.8922 0.1777 0.7579
0.8922 0.3223 0.2579
0.9343 0.5343 0.6208
0.9343 0.9657 0.1208
0.0239 0.1152 0.7497
0.0239 0.3848 0.2497
0.4968 0.6400 0.2262
0.4968 0.8600 0.7262
0.5032 0.1400 0.2738
0.5032 0.3600 0.7738
0.9761 0.6152 0.7503
0.9761 0.8848 0.2503
```

Top 10 peaks for 2θ = 15–90°, sorted by position:
| two_theta | I/Imax |
| --- | --- |
| 18.00 | 76 |
| 18.10 | 81 |
| 28.08 | 34 |
| 29.22 | 24 |
| 29.42 | 22 |
| 32.60 | 100 |
| 37.46 | 42 |
| 44.58 | 16 |
| 46.64 | 32 |
| 46.95 | 21 |


Record 6
For SrH4N2, the GGA-PBE geometry in the Materials Project gives the simulated XRD peak list in this record (a wavelength of 1.5418 Å).
Lines closer than 0.1° are merged.

Cell and atoms:
```
SrH4N2
1.0
-2.7566 2.7566 5.5045
2.7566 -2.7566 5.5045
2.7566 2.7566 -5.5045
Sr H N
2 8 4
direct
0.3750 0.6250 0.7500
0.6250 0.3750 0.2500
0.0764 0.1798 0.6034
0.0764 0.4730 0.8966
0.1798 0.0764 0.1034
0.4730 0.0764 0.3966
0.5270 0.9236 0.6034
0.8202 0.9236 0.8966
0.9236 0.5270 0.1034
0.9236 0.8202 0.3966
0.1347 0.3847 0.7500
0.3847 0.1347 0.2500
0.6153 0.8653 0.7500
0.8653 0.6153 0.2500
```

Top 10 peaks for 2θ = 15–90°, sorted by position:
| two_theta | I/Imax |
| --- | --- |
| 17.99 | 100 |
| 28.05 | 28 |
| 29.23 | 30 |
| 32.50 | 64 |
| 37.38 | 35 |
| 44.27 | 30 |
| 46.62 | 41 |
| 55.29 | 18 |
| 55.98 | 16 |
| 57.98 | 14 |


Record 7
For Sr2HN, the GGA-PBE geometry in the Materials Project gives the simulated XRD peak list in this record (a wavelength of 1.5418 Å).
Lines closer than 0.1° are merged.

Cell and atoms:
```
Sr2HN
1.0
1.9129 1.1044 6.3446
-1.9129 1.1044 6.3446
0.0000 -2.2089 6.3446
Sr H N
2 1 1
direct
0.2386 0.2386 0.2386
0.7614 0.7614 0.7614
0.0000 0.0000 0.0000
0.5000 0.5000 0.5000
```

Top 10 peaks for 2θ = 15–90°, sorted by position:
| two_theta | I/Imax |
| --- | --- |
| 28.13 | 29 |
| 28.53 | 100 |
| 32.94 | 93 |
| 47.02 | 26 |
| 47.53 | 34 |
| 56.15 | 26 |
| 56.37 | 15 |
| 59.04 | 16 |
| 76.76 | 13 |
| 79.07 | 14 |